Entry 1:
The following is a calculated powder diffractogram of K3AsS4. It was derived from a cell relaxed with PBE, using Cu Kα (λ = 1.5418 Å).
Peak positions follow from Bragg's law for the DFT cell and can differ from measured ones.

Structure:
```
data_K3AsS4
_chemical_formula_sum 'K12 As4 S16'
_cell_length_a 9.254
_cell_length_b 10.721
_cell_length_c 9.624
_cell_angle_alpha 90.00
_cell_angle_beta 90.00
_cell_angle_gamma 90.00
_symmetry_space_group_name_H-M 'P 1'
_symmetry_Int_Tables_number 1
_symmetry_space_group_name_Hall 'P 1'
loop_
_atom_site_label
_atom_site_type_symbol
_atom_site_fract_x
_atom_site_fract_y
_atom_site_fract_z
K1 K 0.066 0.045 0.201
K2 K 0.066 0.455 0.201
K3 K 0.135 0.750 0.426
K4 K 0.365 0.250 0.926
K5 K 0.434 0.545 0.701
K6 K 0.434 0.955 0.701
K7 K 0.566 0.045 0.299
K8 K 0.566 0.455 0.299
K9 K 0.635 0.750 0.074
K10 K 0.865 0.250 0.574
K11 K 0.934 0.545 0.799
K12 K 0.934 0.955 0.799
As1 As 0.221 0.750 0.980
As2 As 0.279 0.250 0.480
As3 As 0.721 0.750 0.520
As4 As 0.779 0.250 0.020
S1 S 0.013 0.750 0.093
S2 S 0.157 0.081 0.532
S3 S 0.157 0.419 0.532
S4 S 0.180 0.750 0.756
S5 S 0.320 0.250 0.256
S6 S 0.343 0.581 0.032
S7 S 0.343 0.919 0.032
S8 S 0.487 0.250 0.593
S9 S 0.513 0.750 0.407
S10 S 0.657 0.081 0.968
S11 S 0.657 0.419 0.968
S12 S 0.680 0.750 0.744
S13 S 0.820 0.250 0.244
S14 S 0.843 0.581 0.468
S15 S 0.843 0.919 0.468
S16 S 0.987 0.250 0.907
```

Peak list (8 most intense, 2θ = 15–90°, sorted by position)
| 2theta | d_spacing | Rel. int. |
| --- | --- | --- |
| 15.6 | 5.664 | 100.0 |
| 16.5 | 5.360 | 25.5 |
| 24.9 | 3.581 | 30.3 |
| 25.4 | 3.503 | 26.0 |
| 26.7 | 3.341 | 27.9 |
| 26.7 | 3.335 | 27.9 |
| 30.7 | 2.917 | 27.7 |
| 31.6 | 2.829 | 85.0 |

---

Entry 2:
The following is a calculated powder diffractogram of K3Co. It was derived from a cell relaxed with PBE, using Cu Kα (λ = 1.5418 Å).
Peak positions follow from Bragg's law for the DFT cell and can differ from measured ones.

Structure:
```
data_K3Co
_chemical_formula_sum 'K6 Co2'
_cell_length_a 8.106
_cell_length_b 8.106
_cell_length_c 6.300
_cell_angle_alpha 90.00
_cell_angle_beta 90.00
_cell_angle_gamma 120.00
_symmetry_space_group_name_H-M 'P 1'
_symmetry_Int_Tables_number 1
_symmetry_space_group_name_Hall 'P 1'
loop_
_atom_site_label
_atom_site_type_symbol
_atom_site_fract_x
_atom_site_fract_y
_atom_site_fract_z
K1 K 0.179 0.357 0.250
K2 K 0.179 0.821 0.250
K3 K 0.357 0.179 0.750
K4 K 0.643 0.821 0.250
K5 K 0.821 0.179 0.750
K6 K 0.821 0.643 0.750
Co1 Co 0.333 0.667 0.750
Co2 Co 0.667 0.333 0.250
```

Peak list (8 most intense, 2θ = 15–90°, sorted by position)
| 2theta | d_spacing | Rel. int. |
| --- | --- | --- |
| 25.4 | 3.510 | 24.2 |
| 28.3 | 3.150 | 24.7 |
| 29.1 | 3.066 | 100.0 |
| 38.4 | 2.344 | 15.3 |
| 44.7 | 2.027 | 17.6 |
| 50.7 | 1.802 | 18.5 |
| 53.8 | 1.704 | 19.0 |
| 54.3 | 1.691 | 13.5 |

---

Entry 3:
The following is a calculated powder diffractogram of NaAlCl4. It was derived from a cell relaxed with PBE, using Cu Kα (λ = 1.5418 Å).
Peak positions follow from Bragg's law for the DFT cell and can differ from measured ones.

Structure:
```
data_NaAlCl4
_chemical_formula_sum 'Na4 Al4 Cl16'
_cell_length_a 6.280
_cell_length_b 10.033
_cell_length_c 10.613
_cell_angle_alpha 90.00
_cell_angle_beta 90.00
_cell_angle_gamma 90.00
_symmetry_space_group_name_H-M 'P 1'
_symmetry_Int_Tables_number 1
_symmetry_space_group_name_Hall 'P 1'
loop_
_atom_site_label
_atom_site_type_symbol
_atom_site_fract_x
_atom_site_fract_y
_atom_site_fract_z
Na1 Na 0.066 0.034 0.127
Na2 Na 0.434 0.966 0.627
Na3 Na 0.566 0.466 0.873
Na4 Na 0.934 0.534 0.373
Al1 Al 0.045 0.736 0.787
Al2 Al 0.455 0.264 0.287
Al3 Al 0.545 0.764 0.213
Al4 Al 0.955 0.236 0.713
Cl1 Cl 0.146 0.565 0.896
Cl2 Cl 0.176 0.915 0.872
Cl3 Cl 0.177 0.731 0.599
Cl4 Cl 0.201 0.761 0.217
Cl5 Cl 0.299 0.239 0.717
Cl6 Cl 0.323 0.269 0.099
Cl7 Cl 0.324 0.085 0.372
Cl8 Cl 0.354 0.435 0.396
Cl9 Cl 0.646 0.935 0.104
Cl10 Cl 0.676 0.585 0.128
Cl11 Cl 0.677 0.769 0.401
Cl12 Cl 0.701 0.739 0.783
Cl13 Cl 0.799 0.261 0.283
Cl14 Cl 0.823 0.231 0.901
Cl15 Cl 0.824 0.415 0.628
Cl16 Cl 0.854 0.065 0.604
```

Peak list (8 most intense, 2θ = 15–90°, sorted by position)
| 2theta | d_spacing | Rel. int. |
| --- | --- | --- |
| 16.4 | 5.405 | 47.9 |
| 24.4 | 3.645 | 38.3 |
| 28.3 | 3.153 | 88.1 |
| 29.8 | 2.997 | 68.3 |
| 30.3 | 2.946 | 100.0 |
| 31.5 | 2.844 | 40.3 |
| 34.8 | 2.581 | 68.8 |
| 54.5 | 1.682 | 49.4 |

---

Entry 4:
The following is a calculated powder diffractogram of Zr2Co. It was derived from a cell relaxed with PBE, using Cu Kα (λ = 1.5418 Å).
Peak positions follow from Bragg's law for the DFT cell and can differ from measured ones.

Structure:
```
data_Zr2Co
_chemical_formula_sum 'Zr16 Co8'
_cell_length_a 8.662
_cell_length_b 8.662
_cell_length_c 8.662
_cell_angle_alpha 60.00
_cell_angle_beta 60.00
_cell_angle_gamma 60.00
_symmetry_space_group_name_H-M 'P 1'
_symmetry_Int_Tables_number 1
_symmetry_space_group_name_Hall 'P 1'
loop_
_atom_site_label
_atom_site_type_symbol
_atom_site_fract_x
_atom_site_fract_y
_atom_site_fract_z
Zr1 Zr 0.000 0.000 0.000
Zr2 Zr 0.000 0.000 0.500
Zr3 Zr 0.000 0.500 0.000
Zr4 Zr 0.187 0.187 0.563
Zr5 Zr 0.187 0.563 0.187
Zr6 Zr 0.187 0.563 0.563
Zr7 Zr 0.437 0.437 0.813
Zr8 Zr 0.437 0.813 0.437
Zr9 Zr 0.437 0.813 0.813
Zr10 Zr 0.500 0.000 0.000
Zr11 Zr 0.563 0.187 0.187
Zr12 Zr 0.563 0.187 0.563
Zr13 Zr 0.563 0.563 0.187
Zr14 Zr 0.813 0.437 0.437
Zr15 Zr 0.813 0.437 0.813
Zr16 Zr 0.813 0.813 0.437
Co1 Co 0.168 0.777 0.777
Co2 Co 0.223 0.223 0.223
Co3 Co 0.223 0.223 0.832
Co4 Co 0.223 0.832 0.223
Co5 Co 0.777 0.168 0.777
Co6 Co 0.777 0.777 0.168
Co7 Co 0.777 0.777 0.777
Co8 Co 0.832 0.223 0.223
```

Peak list (8 most intense, 2θ = 15–90°, sorted by position)
| 2theta | d_spacing | Rel. int. |
| --- | --- | --- |
| 31.8 | 2.810 | 26.7 |
| 35.9 | 2.500 | 38.3 |
| 38.2 | 2.357 | 100.0 |
| 41.7 | 2.165 | 42.1 |
| 57.8 | 1.595 | 11.7 |
| 64.6 | 1.444 | 31.8 |
| 66.1 | 1.414 | 13.9 |
| 77.5 | 1.231 | 13.4 |

---

Entry 5:
The following is a calculated powder diffractogram of NpNi2Ge2. It was derived from a cell relaxed with PBE, using Cu Kα (λ = 1.5418 Å).
Peak positions follow from Bragg's law for the DFT cell and can differ from measured ones.

Structure:
```
data_NpNi2Ge2
_chemical_formula_sum 'Np1 Ni2 Ge2'
_cell_length_a 5.743
_cell_length_b 5.743
_cell_length_c 5.743
_cell_angle_alpha 138.81
_cell_angle_beta 138.81
_cell_angle_gamma 59.66
_symmetry_space_group_name_H-M 'P 1'
_symmetry_Int_Tables_number 1
_symmetry_space_group_name_Hall 'P 1'
loop_
_atom_site_label
_atom_site_type_symbol
_atom_site_fract_x
_atom_site_fract_y
_atom_site_fract_z
Np1 Np 0.000 0.000 0.000
Ni1 Ni 0.250 0.750 0.500
Ni2 Ni 0.750 0.250 0.500
Ge1 Ge 0.373 0.373 0.000
Ge2 Ge 0.627 0.627 0.000
```

Peak list (8 most intense, 2θ = 15–90°, sorted by position)
| 2theta | d_spacing | Rel. int. |
| --- | --- | --- |
| 23.8 | 3.744 | 34.4 |
| 31.3 | 2.857 | 35.8 |
| 35.0 | 2.566 | 99.5 |
| 36.2 | 2.478 | 100.0 |
| 44.9 | 2.020 | 56.0 |
| 51.1 | 1.787 | 32.6 |
| 58.1 | 1.587 | 46.9 |
| 70.3 | 1.339 | 25.3 |

---

Entry 6:
The following is a calculated powder diffractogram of TiCl2. It was derived from a cell relaxed with PBE, using Cu Kα (λ = 1.5418 Å).
Peak positions follow from Bragg's law for the DFT cell and can differ from measured ones.

Structure:
```
data_TiCl2
_chemical_formula_sum 'Ti1 Cl2'
_cell_length_a 3.527
_cell_length_b 3.527
_cell_length_c 6.824
_cell_angle_alpha 90.00
_cell_angle_beta 90.00
_cell_angle_gamma 120.00
_symmetry_space_group_name_H-M 'P 1'
_symmetry_Int_Tables_number 1
_symmetry_space_group_name_Hall 'P 1'
loop_
_atom_site_label
_atom_site_type_symbol
_atom_site_fract_x
_atom_site_fract_y
_atom_site_fract_z
Ti1 Ti 0.000 0.000 0.000
Cl1 Cl 0.333 0.667 0.219
Cl2 Cl 0.667 0.333 0.781
```

Peak list (8 most intense, 2θ = 15–90°, sorted by position)
| 2theta | d_spacing | Rel. int. |
| --- | --- | --- |
| 32.1 | 2.788 | 100.0 |
| 39.6 | 2.276 | 69.6 |
| 50.0 | 1.824 | 33.0 |
| 51.8 | 1.764 | 28.8 |
| 53.7 | 1.707 | 19.8 |
| 62.3 | 1.490 | 16.9 |
| 67.1 | 1.394 | 12.5 |
| 85.3 | 1.138 | 11.6 |

---

Entry 7:
The following is a calculated powder diffractogram of Nd2Co7. It was derived from a cell relaxed with PBE, using Cu Kα (λ = 1.5418 Å).
Peak positions follow from Bragg's law for the DFT cell and can differ from measured ones.

Structure:
```
data_Nd2Co7
_chemical_formula_sum 'Nd4 Co14'
_cell_length_a 12.484
_cell_length_b 12.484
_cell_length_c 12.484
_cell_angle_alpha 23.01
_cell_angle_beta 23.01
_cell_angle_gamma 23.01
_symmetry_space_group_name_H-M 'P 1'
_symmetry_Int_Tables_number 1
_symmetry_space_group_name_Hall 'P 1'
loop_
_atom_site_label
_atom_site_type_symbol
_atom_site_fract_x
_atom_site_fract_y
_atom_site_fract_z
Nd1 Nd 0.052 0.052 0.052
Nd2 Nd 0.148 0.148 0.148
Nd3 Nd 0.852 0.852 0.852
Nd4 Nd 0.948 0.948 0.948
Co1 Co 0.000 0.500 0.500
Co2 Co 0.111 0.606 0.606
Co3 Co 0.279 0.279 0.279
Co4 Co 0.388 0.388 0.388
Co5 Co 0.394 0.394 0.889
Co6 Co 0.394 0.889 0.394
Co7 Co 0.500 0.000 0.500
Co8 Co 0.500 0.500 0.000
Co9 Co 0.500 0.500 0.500
Co10 Co 0.606 0.111 0.606
Co11 Co 0.606 0.606 0.111
Co12 Co 0.612 0.612 0.612
Co13 Co 0.721 0.721 0.721
Co14 Co 0.889 0.394 0.394
```

Peak list (8 most intense, 2θ = 15–90°, sorted by position)
| 2theta | d_spacing | Rel. int. |
| --- | --- | --- |
| 32.2 | 2.784 | 41.9 |
| 34.1 | 2.627 | 30.3 |
| 36.1 | 2.490 | 46.7 |
| 42.0 | 2.152 | 34.1 |
| 42.6 | 2.121 | 100.0 |
| 44.8 | 2.025 | 15.5 |
| 69.4 | 1.355 | 22.0 |
| 76.5 | 1.245 | 20.2 |